# 1
# K4ErPa3Te8
Simulated powder XRD pattern, Cu Kα, 1.54184 Å. Input: a crystal structure in Alexandria, relaxed with GGA-PBE.
Kinematic intensities with the Lorentz-polarization factor, no thermal factor.

Top 8 peaks for 2θ from 15° to 90°, by intensity:
2θ = 27.2°, 3.275 Å, intensity 100
2θ = 36.8°, 2.439 Å, intensity 39
2θ = 40.9°, 2.209 Å, intensity 35
2θ = 34.1°, 2.629 Å, intensity 20
2θ = 49.8°, 1.831 Å, intensity 19
2θ = 66.3°, 1.410 Å, intensity 16
2θ = 60.7°, 1.526 Å, intensity 15
2θ = 70.1°, 1.342 Å, intensity 14

Cell and atoms:
a b c (Å): 8.8353 8.8353 25.3296
angles (deg): 90.00 90.00 120.00
Space group R-3m (No. 166, hexagonal axes)
Asymmetric unit:
K 0.0000 0.0000 0.0000
K 0.0000 0.5000 0.0000
Er 0.0000 0.0000 0.5000
Pa 0.0000 0.5000 0.5000
Te 0.0000 0.0000 0.2391
Te 0.0044 0.5022 0.2377

# 2
# K3Er3PaTe8
Simulated powder XRD pattern, Cu Kα, 1.54184 Å. Input: a crystal structure in Alexandria, relaxed with GGA-PBE.
Kinematic intensities with the Lorentz-polarization factor, no thermal factor.

Top 8 peaks for 2θ from 15° to 90°, by intensity:
2θ = 27.2°, 3.277 Å, intensity 100
2θ = 40.7°, 2.218 Å, intensity 36
2θ = 37.0°, 2.430 Å, intensity 35
2θ = 34.2°, 2.621 Å, intensity 25
2θ = 49.6°, 1.837 Å, intensity 19
2θ = 66.0°, 1.415 Å, intensity 16
2θ = 46.3°, 1.962 Å, intensity 16
2θ = 42.1°, 2.144 Å, intensity 15

Cell and atoms:
a b c (Å): 8.8728 8.8728 25.0992
angles (deg): 90.00 90.00 120.00
Space group R-3m (No. 166, hexagonal axes)
Asymmetric unit:
K 0.0000 0.5000 0.0000
Er 0.0000 0.5000 0.5000
Pa 0.0000 0.0000 0.5000
Te 0.0000 0.0000 0.2354
Te 0.0038 0.5019 0.7645

# 3
# K3ErPa3Te8
Simulated powder XRD pattern, Cu Kα, 1.54184 Å. Input: a crystal structure in Alexandria, relaxed with GGA-PBE.
Kinematic intensities with the Lorentz-polarization factor, no thermal factor.

Top 8 peaks for 2θ from 15° to 90°, by intensity:
2θ = 27.3°, 3.267 Å, intensity 100
2θ = 36.7°, 2.451 Å, intensity 39
2θ = 41.2°, 2.191 Å, intensity 35
2θ = 34.0°, 2.638 Å, intensity 25
2θ = 50.1°, 1.820 Å, intensity 19
2θ = 66.8°, 1.400 Å, intensity 16
2θ = 42.6°, 2.123 Å, intensity 16
2θ = 45.6°, 1.989 Å, intensity 15

Cell and atoms:
a b c (Å): 8.7638 8.7638 25.6924
angles (deg): 90.00 90.00 120.00
Space group R-3m (No. 166, hexagonal axes)
Asymmetric unit:
K 0.0000 0.5000 0.0000
Er 0.0000 0.0000 0.5000
Pa 0.0000 0.5000 0.5000
Te 0.0000 0.0000 0.2385
Te 0.0014 0.5007 0.2365

# 4
# KErTlPb
Simulated powder XRD pattern, Cu Kα, 1.54184 Å. Input: a crystal structure in Alexandria, relaxed with GGA-PBE.
Kinematic intensities with the Lorentz-polarization factor, no thermal factor.

Top 8 peaks for 2θ from 15° to 90°, by intensity:
2θ = 32.0°, 2.797 Å, intensity 100
2θ = 57.0°, 1.615 Å, intensity 39
2θ = 45.9°, 1.978 Å, intensity 19
2θ = 76.1°, 1.251 Å, intensity 17
2θ = 66.9°, 1.399 Å, intensity 12
2θ = 22.5°, 3.956 Å, intensity 12
2θ = 19.4°, 4.568 Å, intensity 9
2θ = 51.7°, 1.769 Å, intensity 6

Cell and atoms:
a b c (Å): 7.9124 7.9124 7.9124
angles (deg): 90.00 90.00 90.00
Space group F-43m (No. 216)
Asymmetric unit:
K 0.0000 0.0000 0.0000
Er 0.0000 0.0000 0.5000
Tl 0.2500 0.2500 0.2500
Pb 0.2500 0.2500 0.7500